(1)
Calculated X-ray powder pattern
Compound: K4Na2Cd2Hg
Radiation: Cu Kα, 1.54184 Å
Structure: a DFT-relaxed cell (PBE, Alexandria)
Peak positions follow from Bragg's law for the DFT cell and can differ from measured ones.

Atomic structure:
```
data_K4Na2Cd2Hg
_chemical_formula_sum 'K4 Na2 Cd2 Hg1'
_cell_length_a 6.7177
_cell_length_b 8.1530
_cell_length_c 8.3085
_cell_angle_alpha 115.83
_cell_angle_beta 99.98
_cell_angle_gamma 97.70
_symmetry_space_group_name_H-M 'P -1'
_symmetry_Int_Tables_number 2
_symmetry_space_group_name_Hall '-P 1'
loop_
_atom_site_label
_atom_site_fract_x
_atom_site_fract_y
_atom_site_fract_z
_atom_site_occupancy
K1 0.0797 0.2733 0.0659 1
K2 0.2455 0.8645 0.5218 1
Na1 0.3272 0.4727 0.6457 1
Cd1 0.4484 0.6870 0.0983 1
Hg1 0.5000 0.0000 0.0000 1
```

Principal peaks in the range 10 to 80 degrees two-theta, sorted by position:
| two_theta | d_spacing | Rel. int. | hkl |
| --- | --- | --- | --- |
| 12.3 | 7.222 | 100 | 0 0 1 |
| 13.8 | 6.429 | 84 | 1 0 0 |
| 15.9 | 5.574 | 37 | 1 0 -1 |
| 20.7 | 4.281 | 24 | 1 0 1 |
| 24.7 | 3.611 | 27 | 0 0 2 |
| 27.3 | 3.269 | 29 | 2 0 -1 |
| 27.5 | 3.245 | 24 | 1 2 -1 |
| 31.6 | 2.835 | 26 | -1 1 2 |
| 33.7 | 2.658 | 35 | 0 3 -1 |
| 35.1 | 2.557 | 24 | 1 2 -3 |

=====

(2)
Calculated X-ray powder pattern
Compound: K2Na5Cd2Hg
Radiation: Cu Kα, 1.54184 Å
Structure: a DFT-relaxed cell (PBE, Alexandria)
Peak positions follow from Bragg's law for the DFT cell and can differ from measured ones.

Atomic structure:
```
data_K2Na5Cd2Hg
_chemical_formula_sum 'K4 Na10 Cd4 Hg2'
_cell_length_a 13.1223
_cell_length_b 13.1223
_cell_length_c 4.1318
_cell_angle_alpha 90.00
_cell_angle_beta 90.00
_cell_angle_gamma 90.00
_symmetry_space_group_name_H-M 'P 4/m b m'
_symmetry_Int_Tables_number 127
_symmetry_space_group_name_Hall '-P 4 2ab'
loop_
_atom_site_label
_atom_site_fract_x
_atom_site_fract_y
_atom_site_fract_z
_atom_site_occupancy
K1 0.1731 0.3269 0.0000 1
Na1 0.0000 0.5000 0.5000 1
Na2 0.0587 0.8131 0.5000 1
Cd1 0.1300 0.6300 0.0000 1
Hg1 0.0000 0.0000 0.0000 1
```

Principal peaks in the range 10 to 80 degrees two-theta, sorted by position:
| two_theta | d_spacing | Rel. int. | hkl |
| --- | --- | --- | --- |
| 13.5 | 6.561 | 21 | 2 0 0 |
| 15.1 | 5.868 | 20 | 2 1 0 |
| 19.1 | 4.639 | 15 | 2 2 0 |
| 21.4 | 4.144 | 74 | 0 0 1 |
| 28.9 | 3.086 | 19 | 2 2 1 |
| 30.5 | 2.929 | 100 | 3 1 1 |
| 32.8 | 2.731 | 16 | 3 2 1 |
| 34.9 | 2.573 | 15 | 5 1 0 |
| 41.3 | 2.185 | 21 | 6 0 0 |
| 44.8 | 2.023 | 14 | 4 4 1 |

=====

Q: What is the formula in the first record?
A: K4Na2Cd2Hg